Record 1
Simulated XRD peak list
Compound: Li4Co3Ni2Sn3O16
Radiation: Cu Ka
Structure: the GGA+U geometry in the Materials Project
Peak positions follow from Bragg's law for the DFT cell and can differ from measured ones.

Principal peaks in the range 2θ = 15–90°, by angle:
2θ (°), I (rel.)
18.40, 100
19.47, 77
25.23, 32
35.30, 37
35.95, 78
44.90, 38
59.68, 26
62.30, 27

Atomic structure:
```
data_Li4Co3Ni2Sn3O16
_space_group_name_H-M_alt 'P 1'
_space_group_IT_number 1
_cell_length_a 5.961
_cell_length_b 5.961
_cell_length_c 9.643
_cell_angle_alpha 90.36
_cell_angle_beta 90.36
_cell_angle_gamma 60.25
loop_
_space_group_symop_operation_xyz
'x,y,z'
loop_
_atom_site_label
_atom_site_type_symbol
_atom_site_fract_x
_atom_site_fract_y
_atom_site_fract_z
_atom_site_occupancy
Li1 Li 0.000 0.000 0.000 1
Li2 Li 0.007 0.007 0.489 1
Li3 Li 0.367 0.367 0.593 1
Li4 Li 0.704 0.704 0.107 1
Co1 Co 0.196 0.689 0.278 1
Co2 Co 0.689 0.196 0.278 1
Co3 Co 0.857 0.857 0.777 1
Ni1 Ni 0.359 0.359 0.005 1
Ni2 Ni 0.689 0.689 0.498 1
Sn1 Sn 0.196 0.196 0.277 1
Sn2 Sn 0.364 0.859 0.778 1
Sn3 Sn 0.859 0.364 0.778 1
O1 O 0.013 0.013 0.674 1
O2 O 0.015 0.015 0.182 1
O3 O 0.067 0.527 0.158 1
O4 O 0.168 0.704 0.886 1
O5 O 0.181 0.181 0.905 1
O6 O 0.337 0.852 0.390 1
O7 O 0.371 0.371 0.384 1
O8 O 0.510 0.510 0.172 1
O9 O 0.527 0.067 0.158 1
O10 O 0.544 0.544 0.648 1
O11 O 0.561 0.994 0.658 1
O12 O 0.704 0.168 0.886 1
O13 O 0.704 0.704 0.894 1
O14 O 0.852 0.337 0.390 1
O15 O 0.864 0.864 0.373 1
O16 O 0.994 0.561 0.658 1
```

=====

Record 2
Simulated XRD peak list
Compound: Li4Co3Ni3Te2O16
Radiation: Cu Ka
Structure: the GGA+U geometry in the Materials Project
Peak positions follow from Bragg's law for the DFT cell and can differ from measured ones.

Principal peaks in the range 2θ = 15–90°, by angle:
2θ (°), I (rel.)
19.42, 34
19.69, 70
19.91, 100
35.38, 49
36.03, 46
36.18, 33
36.55, 35
63.12, 32

Atomic structure:
```
data_Li4Co3Ni3Te2O16
_space_group_name_H-M_alt 'P 1'
_space_group_IT_number 1
_cell_length_a 5.894
_cell_length_b 5.894
_cell_length_c 9.590
_cell_angle_alpha 91.43
_cell_angle_beta 91.43
_cell_angle_gamma 59.38
loop_
_space_group_symop_operation_xyz
'x,y,z'
loop_
_atom_site_label
_atom_site_type_symbol
_atom_site_fract_x
_atom_site_fract_y
_atom_site_fract_z
_atom_site_occupancy
Li1 Li 0.000 0.000 0.000 1
Li2 Li 0.004 0.004 0.499 1
Li3 Li 0.345 0.345 0.581 1
Li4 Li 0.674 0.674 0.072 1
Co1 Co 0.176 0.665 0.275 1
Co2 Co 0.665 0.176 0.275 1
Co3 Co 0.832 0.832 0.772 1
Ni1 Ni 0.176 0.176 0.274 1
Ni2 Ni 0.342 0.832 0.775 1
Ni3 Ni 0.832 0.342 0.775 1
Te1 Te 0.336 0.336 0.002 1
Te2 Te 0.673 0.673 0.505 1
O1 O 0.040 0.496 0.137 1
O2 O 0.164 0.665 0.892 1
O3 O 0.168 0.168 0.900 1
O4 O 0.342 0.838 0.398 1
O5 O 0.351 0.351 0.369 1
O6 O 0.491 0.491 0.129 1
O7 O 0.496 0.040 0.137 1
O8 O 0.526 0.526 0.634 1
O9 O 0.535 0.974 0.642 1
O10 O 0.665 0.164 0.892 1
O11 O 0.680 0.680 0.871 1
O12 O 0.834 0.834 0.398 1
O13 O 0.838 0.342 0.398 1
O14 O 0.974 0.535 0.642 1
O15 O 0.995 0.995 0.193 1
O16 O 0.995 0.995 0.689 1
```

=====

Record 3
Simulated XRD peak list
Compound: Li10Ti3Co3Ni2O16
Radiation: Cu Ka
Structure: the GGA+U geometry in the Materials Project
Peak positions follow from Bragg's law for the DFT cell and can differ from measured ones.

Principal peaks in the range 2θ = 15–90°, by angle:
2θ (°), I (rel.)
17.93, 65
19.13, 52
19.39, 100
35.17, 29
35.83, 41
39.40, 27
44.65, 49
62.03, 48

Atomic structure:
```
data_Li10Ti3Co3Ni2O16
_space_group_name_H-M_alt 'P 1'
_space_group_IT_number 1
_cell_length_a 5.984
_cell_length_b 5.986
_cell_length_c 9.895
_cell_angle_alpha 90.78
_cell_angle_beta 90.35
_cell_angle_gamma 119.56
loop_
_space_group_symop_operation_xyz
'x,y,z'
loop_
_atom_site_label
_atom_site_type_symbol
_atom_site_fract_x
_atom_site_fract_y
_atom_site_fract_z
_atom_site_occupancy
Li1 Li 0.000 0.000 0.000 1
Li2 Li 0.010 0.460 0.002 1
Li3 Li 0.145 0.297 0.796 1
Li4 Li 0.200 0.846 0.530 1
Li5 Li 0.407 0.440 0.015 1
Li6 Li 0.452 0.947 0.296 1
Li7 Li 0.608 0.239 0.523 1
Li8 Li 0.642 0.855 0.533 1
Li9 Li 0.790 0.618 0.094 1
Li10 Li 0.803 0.615 0.600 1
Ti1 Ti 0.462 0.461 0.303 1
Ti2 Ti 0.632 0.275 0.792 1
Ti3 Ti 0.958 0.439 0.287 1
Co1 Co 0.145 0.794 0.789 1
Co2 Co 0.639 0.791 0.792 1
Co3 Co 0.963 0.956 0.291 1
Ni1 Ni 0.134 0.284 0.555 1
Ni2 Ni 0.473 0.953 0.042 1
O1 O 0.111 0.760 0.180 1
O2 O 0.142 0.311 0.178 1
O3 O 0.292 0.607 0.409 1
O4 O 0.302 0.143 0.405 1
O5 O 0.320 0.647 0.912 1
O6 O 0.328 0.131 0.914 1
O7 O 0.476 0.436 0.674 1
O8 O 0.484 0.978 0.667 1
O9 O 0.614 0.762 0.181 1
O10 O 0.637 0.298 0.183 1
O11 O 0.784 0.597 0.407 1
O12 O 0.794 0.129 0.915 1
O13 O 0.800 0.605 0.910 1
O14 O 0.819 0.145 0.407 1
O15 O 0.949 0.435 0.676 1
O16 O 0.968 0.946 0.661 1
```

=====

Record 4
Simulated XRD peak list
Compound: Li4Co3Ni3W2O16
Radiation: Cu Ka
Structure: the GGA+U geometry in the Materials Project
Peak positions follow from Bragg's law for the DFT cell and can differ from measured ones.

Principal peaks in the range 2θ = 15–90°, by angle:
2θ (°), I (rel.)
19.53, 100
19.62, 21
25.26, 19
32.55, 23
32.70, 22
35.39, 38
35.57, 17
36.16, 28

Atomic structure:
```
data_Li4Co3Ni3W2O16
_space_group_name_H-M_alt 'P 1'
_space_group_IT_number 1
_cell_length_a 5.924
_cell_length_b 5.924
_cell_length_c 9.744
_cell_angle_alpha 90.35
_cell_angle_beta 90.35
_cell_angle_gamma 60.15
loop_
_space_group_symop_operation_xyz
'x,y,z'
loop_
_atom_site_label
_atom_site_type_symbol
_atom_site_fract_x
_atom_site_fract_y
_atom_site_fract_z
_atom_site_occupancy
Li1 Li 0.000 0.000 0.000 1
Li2 Li 0.001 0.001 0.501 1
Li3 Li 0.326 0.326 0.087 1
Li4 Li 0.659 0.659 0.586 1
Co1 Co 0.170 0.170 0.769 1
Co2 Co 0.341 0.828 0.271 1
Co3 Co 0.828 0.341 0.271 1
Ni1 Ni 0.164 0.656 0.776 1
Ni2 Ni 0.656 0.164 0.776 1
Ni3 Ni 0.826 0.826 0.279 1
W1 W 0.335 0.335 0.502 1
W2 W 0.666 0.666 0.000 1
O1 O 0.003 0.003 0.193 1
O2 O 0.011 0.011 0.694 1
O3 O 0.032 0.471 0.639 1
O4 O 0.163 0.653 0.405 1
O5 O 0.170 0.170 0.402 1
O6 O 0.311 0.311 0.877 1
O7 O 0.341 0.819 0.903 1
O8 O 0.471 0.032 0.639 1
O9 O 0.475 0.475 0.640 1
O10 O 0.512 0.956 0.141 1
O11 O 0.514 0.514 0.139 1
O12 O 0.650 0.650 0.380 1
O13 O 0.653 0.163 0.405 1
O14 O 0.819 0.341 0.903 1
O15 O 0.826 0.826 0.905 1
O16 O 0.956 0.512 0.141 1
```

=====

Record 5
Simulated XRD peak list
Compound: Li3Co13O16
Radiation: Cu Ka
Structure: the GGA+U geometry in the Materials Project
Peak positions follow from Bragg's law for the DFT cell and can differ from measured ones.

Principal peaks in the range 2θ = 15–90°, by angle:
2θ (°), I (rel.)
36.88, 85
42.74, 100
43.06, 49
62.00, 14
62.07, 14
62.22, 28
62.35, 28
74.36, 14

Atomic structure:
```
data_Li3Co13O16
_space_group_name_H-M_alt 'P 1'
_space_group_IT_number 1
_cell_length_a 5.155
_cell_length_b 5.981
_cell_length_c 9.905
_cell_angle_alpha 81.26
_cell_angle_beta 85.39
_cell_angle_gamma 89.85
loop_
_space_group_symop_operation_xyz
'x,y,z'
loop_
_atom_site_label
_atom_site_type_symbol
_atom_site_fract_x
_atom_site_fract_y
_atom_site_fract_z
_atom_site_occupancy
Li1 Li 0.000 0.000 0.000 1
Li2 Li 0.373 0.562 0.753 1
Li3 Li 0.627 0.438 0.247 1
Co1 Co 0.000 0.500 0.000 1
Co2 Co 0.120 0.190 0.247 1
Co3 Co 0.121 0.686 0.247 1
Co4 Co 0.253 0.872 0.501 1
Co5 Co 0.256 0.378 0.499 1
Co6 Co 0.370 0.060 0.754 1
Co7 Co 0.500 0.250 0.000 1
Co8 Co 0.500 0.750 0.000 1
Co9 Co 0.630 0.940 0.246 1
Co10 Co 0.744 0.622 0.501 1
Co11 Co 0.747 0.128 0.499 1
Co12 Co 0.879 0.314 0.753 1
Co13 Co 0.880 0.810 0.753 1
O1 O 0.056 0.595 0.624 1
O2 O 0.066 0.092 0.630 1
O3 O 0.183 0.294 0.884 1
O4 O 0.183 0.764 0.884 1
O5 O 0.289 0.471 0.116 1
O6 O 0.321 0.967 0.127 1
O7 O 0.430 0.153 0.374 1
O8 O 0.433 0.661 0.374 1
O9 O 0.567 0.339 0.626 1
O10 O 0.570 0.847 0.626 1
O11 O 0.679 0.033 0.873 1
O12 O 0.711 0.529 0.884 1
O13 O 0.817 0.236 0.116 1
O14 O 0.817 0.706 0.116 1
O15 O 0.934 0.908 0.370 1
O16 O 0.944 0.405 0.376 1
```

=====

Record 6
Simulated XRD peak list
Compound: LiCo2O4
Radiation: Cu Ka
Structure: the GGA+U geometry in the Materials Project
Peak positions follow from Bragg's law for the DFT cell and can differ from measured ones.

Principal peaks in the range 2θ = 15–90°, by angle:
2θ (°), I (rel.)
19.06, 100
36.97, 46
38.68, 13
44.97, 51
49.26, 10
59.57, 20
65.48, 30
68.89, 14

Atomic structure:
```
data_LiCo2O4
_space_group_name_H-M_alt 'P 1'
_space_group_IT_number 1
_cell_length_a 8.058
_cell_length_b 8.068
_cell_length_c 8.066
_cell_angle_alpha 90.00
_cell_angle_beta 90.03
_cell_angle_gamma 90.00
loop_
_space_group_symop_operation_xyz
'x,y,z'
loop_
_atom_site_label
_atom_site_type_symbol
_atom_site_fract_x
_atom_site_fract_y
_atom_site_fract_z
_atom_site_occupancy
Li1 Li 0.001 0.000 0.253 1
Li2 Li 0.252 0.248 0.499 1
Li3 Li 0.252 0.748 0.000 1
Li4 Li 0.499 0.001 0.746 1
Li5 Li 0.501 0.501 0.254 1
Li6 Li 0.748 0.248 0.000 1
Li7 Li 0.748 0.748 0.501 1
Li8 Li 0.999 0.500 0.747 1
Co1 Co 0.124 0.124 0.875 1
Co2 Co 0.124 0.375 0.126 1
Co3 Co 0.126 0.625 0.375 1
Co4 Co 0.127 0.872 0.624 1
Co5 Co 0.375 0.124 0.124 1
Co6 Co 0.375 0.377 0.873 1
Co7 Co 0.376 0.624 0.624 1
Co8 Co 0.376 0.874 0.375 1
Co9 Co 0.624 0.124 0.376 1
Co10 Co 0.624 0.374 0.625 1
Co11 Co 0.625 0.624 0.876 1
Co12 Co 0.625 0.877 0.127 1
Co13 Co 0.873 0.372 0.376 1
Co14 Co 0.874 0.125 0.625 1
Co15 Co 0.876 0.624 0.125 1
Co16 Co 0.876 0.875 0.874 1
O1 O 0.109 0.612 0.136 1
O2 O 0.110 0.887 0.861 1
O3 O 0.116 0.388 0.357 1
O4 O 0.117 0.109 0.642 1
O5 O 0.134 0.361 0.891 1
O6 O 0.135 0.138 0.108 1
O7 O 0.136 0.641 0.611 1
O8 O 0.140 0.861 0.392 1
O9 O 0.357 0.141 0.883 1
O10 O 0.357 0.362 0.110 1
O11 O 0.359 0.862 0.611 1
O12 O 0.361 0.640 0.388 1
O13 O 0.388 0.386 0.642 1
O14 O 0.391 0.114 0.358 1
O15 O 0.391 0.608 0.865 1
O16 O 0.392 0.888 0.136 1
O17 O 0.608 0.388 0.864 1
O18 O 0.609 0.108 0.135 1
O19 O 0.609 0.614 0.642 1
O20 O 0.612 0.886 0.358 1
O21 O 0.639 0.140 0.612 1
O22 O 0.641 0.362 0.389 1
O23 O 0.643 0.641 0.117 1
O24 O 0.643 0.862 0.890 1
O25 O 0.860 0.361 0.608 1
O26 O 0.864 0.141 0.389 1
O27 O 0.865 0.638 0.892 1
O28 O 0.866 0.861 0.109 1
O29 O 0.883 0.609 0.358 1
O30 O 0.884 0.888 0.643 1
O31 O 0.890 0.387 0.139 1
O32 O 0.891 0.112 0.864 1
```

=====

Record 7
Simulated XRD peak list
Compound: LiCo2O4
Radiation: Cu Ka
Structure: the GGA+U geometry in the Materials Project
Peak positions follow from Bragg's law for the DFT cell and can differ from measured ones.

Principal peaks in the range 2θ = 15–90°, by angle:
2θ (°), I (rel.)
19.49, 66
20.55, 100
26.70, 40
37.37, 57
37.96, 57
47.64, 60
63.60, 44
65.91, 39

Atomic structure:
```
data_LiCo2O4
_space_group_name_H-M_alt 'P 1'
_space_group_IT_number 1
_cell_length_a 5.669
_cell_length_b 5.669
_cell_length_c 9.110
_cell_angle_alpha 90.00
_cell_angle_beta 90.00
_cell_angle_gamma 120.00
loop_
_space_group_symop_operation_xyz
'x,y,z'
loop_
_atom_site_label
_atom_site_type_symbol
_atom_site_fract_x
_atom_site_fract_y
_atom_site_fract_z
_atom_site_occupancy
Li1 Li 0.000 0.000 0.000 1
Li2 Li 0.000 0.000 0.500 1
Li3 Li 0.333 0.667 0.396 1
Li4 Li 0.667 0.333 0.896 1
Co1 Co 0.166 0.331 0.712 1
Co2 Co 0.166 0.834 0.712 1
Co3 Co 0.331 0.166 0.212 1
Co4 Co 0.333 0.667 0.985 1
Co5 Co 0.667 0.333 0.485 1
Co6 Co 0.669 0.834 0.712 1
Co7 Co 0.834 0.166 0.212 1
Co8 Co 0.834 0.669 0.212 1
O1 O 0.000 0.000 0.310 1
O2 O 0.000 0.000 0.810 1
O3 O 0.041 0.521 0.839 1
O4 O 0.162 0.324 0.105 1
O5 O 0.162 0.838 0.105 1
O6 O 0.324 0.162 0.605 1
O7 O 0.333 0.667 0.608 1
O8 O 0.479 0.521 0.839 1
O9 O 0.479 0.959 0.839 1
O10 O 0.521 0.041 0.339 1
O11 O 0.521 0.479 0.339 1
O12 O 0.667 0.333 0.108 1
O13 O 0.676 0.838 0.105 1
O14 O 0.838 0.162 0.605 1
O15 O 0.838 0.676 0.605 1
O16 O 0.959 0.479 0.339 1
```

=====

Record 8
Simulated XRD peak list
Compound: Li2CoO3
Radiation: Cu Ka
Structure: the GGA+U geometry in the Materials Project
Peak positions follow from Bragg's law for the DFT cell and can differ from measured ones.

Principal peaks in the range 2θ = 15–90°, by angle:
2θ (°), I (rel.)
18.60, 100
21.09, 37
21.55, 19
23.01, 26
34.52, 21
41.47, 41
44.46, 33
45.99, 28

Atomic structure:
```
data_Li2CoO3
_space_group_name_H-M_alt 'P 1'
_space_group_IT_number 1
_cell_length_a 4.911
_cell_length_b 5.001
_cell_length_c 5.195
_cell_angle_alpha 101.19
_cell_angle_beta 102.91
_cell_angle_gamma 116.27
loop_
_space_group_symop_operation_xyz
'x,y,z'
loop_
_atom_site_label
_atom_site_type_symbol
_atom_site_fract_x
_atom_site_fract_y
_atom_site_fract_z
_atom_site_occupancy
Li1 Li 0.000 0.000 0.000 1
Li2 Li 0.171 0.843 0.493 1
Li3 Li 0.500 0.500 0.500 1
Li4 Li 0.829 0.157 0.507 1
Co1 Co 0.337 0.680 0.991 1
Co2 Co 0.663 0.320 0.009 1
O1 O 0.046 0.415 0.227 1
O2 O 0.299 0.286 0.772 1
O3 O 0.418 0.063 0.229 1
O4 O 0.582 0.937 0.771 1
O5 O 0.701 0.714 0.228 1
O6 O 0.954 0.585 0.773 1
```

=====

Record 9
Simulated XRD peak list
Compound: Li4CoO4
Radiation: Cu Ka
Structure: the GGA+U geometry in the Materials Project
Peak positions follow from Bragg's law for the DFT cell and can differ from measured ones.

Principal peaks in the range 2θ = 15–90°, by angle:
2θ (°), I (rel.)
19.59, 100
22.82, 44
22.98, 84
23.12, 42
27.84, 32
33.51, 26
36.54, 33
55.18, 24

Atomic structure:
```
data_Li4CoO4
_space_group_name_H-M_alt 'P 1'
_space_group_IT_number 1
_cell_length_a 4.858
_cell_length_b 6.407
_cell_length_c 6.412
_cell_angle_alpha 90.00
_cell_angle_beta 90.75
_cell_angle_gamma 90.00
loop_
_space_group_symop_operation_xyz
'x,y,z'
loop_
_atom_site_label
_atom_site_type_symbol
_atom_site_fract_x
_atom_site_fract_y
_atom_site_fract_z
_atom_site_occupancy
Li1 Li 0.000 0.000 0.000 1
Li2 Li 0.034 0.243 0.376 1
Li3 Li 0.034 0.757 0.376 1
Li4 Li 0.481 0.000 0.070 1
Li5 Li 0.519 0.292 0.811 1
Li6 Li 0.519 0.708 0.811 1
Li7 Li 0.546 0.306 0.283 1
Li8 Li 0.546 0.694 0.283 1
Co1 Co 0.048 0.500 0.044 1
Co2 Co 0.554 0.000 0.552 1
O1 O 0.257 0.258 0.064 1
O2 O 0.257 0.742 0.064 1
O3 O 0.362 0.235 0.536 1
O4 O 0.362 0.765 0.536 1
O5 O 0.689 0.000 0.815 1
O6 O 0.765 0.000 0.308 1
O7 O 0.805 0.500 0.842 1
O8 O 0.845 0.500 0.284 1
```